In2CuTe3Br: theoretical powder diffraction line list (Cu Kα), based on a GGA-PBE-relaxed structure.
Intensities are scaled so that the largest is 1000.

Crystal structure
```
In2CuTe3Br
1.0
6.2064 0.0000 0.0000
-0.0759 6.2247 0.0000
-2.9485 -3.1429 6.2083
In Cu Te Br
2 1 3 1
direct
0.0000 0.0000 0.0000
0.2641 0.7360 0.4681
0.5372 0.5299 0.0015
0.4298 0.9032 0.2416
0.6360 0.5820 0.7188
0.8415 0.3812 0.2476
0.1526 0.1355 0.7475
```

Top 10 peaks for 2θ from 10° to 90°, sorted by position:
(hkl)  2θ/deg  Rel. int.
1 -1 1  24.5  1000
1 1 0  24.8  919
-1 1 1  24.9  897
1 1 -2  25.0  883
2 0 1  40.8  879
0 2 -3  41.0  475
0 2 1  41.2  423
2 2 -2  41.3  375
2 0 -3  41.5  387
1 -1 3  48.2  411

---

CuIrBr: theoretical powder diffraction line list (Cu Kα), based on a GGA-PBE-relaxed structure.
Intensities are scaled so that the largest is 1000.

Crystal structure
```
CuIrBr
1.0
6.0144 0.0000 0.0000
0.0000 6.0144 0.0000
0.0000 0.0000 6.0144
Cu Ir Br
4 4 4
direct
0.0000 0.0000 0.0000
0.0000 0.5000 0.5000
0.5000 0.0000 0.5000
0.5000 0.5000 0.0000
0.2500 0.2500 0.7500
0.2500 0.7500 0.2500
0.7500 0.2500 0.2500
0.7500 0.7500 0.7500
0.2500 0.2500 0.2500
0.2500 0.7500 0.7500
0.7500 0.2500 0.7500
0.7500 0.7500 0.2500
```

Top 10 peaks for 2θ from 10° to 90°, sorted by position:
(hkl)  2θ/deg  Rel. int.
1 1 1  25.7  352
2 0 0  29.7  463
2 2 0  42.5  1000
3 1 1  50.3  176
2 2 2  52.7  128
4 0 0  61.7  164
3 3 1  67.9  71
4 2 0  70.0  170
4 2 2  77.8  333
5 1 1  83.5  54